Structure and calculated powder X-ray diffraction pattern of Tl4Mo5O17 (a crystal structure in Alexandria, relaxed with GGA+U; copper Kα).
Peak positions follow from Bragg's law for the DFT cell and can differ from measured ones.

Principal peaks in the range 10 to 90 degrees two-theta, sorted by position:
2θ (°)	I_rel	index
24.93	479	0 0 3
25.20	1000	2 -1 0
26.22	323	1 0 3
26.55	241	2 2 0
26.71	642	0 3 2
27.03	317	1 3 2
28.19	729	0 3 -1
29.75	278	2 2 -1
31.86	209	2 2 3
45.24	285	2 -4 1

```
Tl4Mo5O17
1.0
7.968 0.000 0.000
1.714 10.961 0.000
1.633 2.523 10.717
Tl Mo O
8 10 34
Cartesian
1.220 1.623 2.158
4.604 8.641 9.625
5.275 10.446 5.680
4.870 8.554 2.321
6.444 4.930 8.396
6.039 3.039 5.036
6.711 4.843 1.092
10.095 11.862 8.558
2.532 4.825 8.729
2.270 3.440 5.615
2.676 5.382 2.944
3.273 6.771 6.087
6.106 12.464 8.944
5.209 1.021 1.772
8.041 6.714 4.629
8.638 8.103 7.772
9.044 10.045 5.102
8.782 8.659 1.988
1.924 9.707 3.467
1.002 2.632 4.699
1.501 7.012 2.980
1.591 5.458 4.915
2.041 8.587 0.752
1.547 4.421 1.989
3.300 3.050 9.067
3.907 5.702 9.397
3.647 5.006 6.660
3.884 6.763 4.408
3.426 4.004 4.003
3.418 2.169 6.053
4.399 7.780 6.957
5.175 11.072 8.300
3.926 5.848 1.785
3.750 0.726 2.744
6.648 12.008 10.550
4.667 1.477 0.167
7.564 12.758 7.972
7.388 7.637 8.931
6.139 2.413 2.417
6.915 5.705 3.760
7.896 11.316 4.664
7.888 9.481 6.714
7.430 6.722 6.309
7.668 8.479 4.056
7.407 7.782 1.320
8.015 10.435 1.650
9.767 9.063 8.728
9.273 4.898 9.965
9.724 8.027 5.801
9.813 6.472 7.737
10.313 10.853 6.017
9.390 3.778 7.250
```